Starting from a DFT-relaxed cell (GGA-PBE, Alexandria), the powder diffractogram of Tm7SnGe5 was calculated for Cu Kα (λ = 1.5418 Å).
Intensities are scaled so that the largest is 100.

Structure:
Lattice parameters (Å, degrees): 5.790 10.793 9.878 90.00 90.00 90.00
Space group Imm2 (No. 44)
One atom of each set of equivalent atoms:
Tm 0.000 0.000 0.000 x2
Tm 0.000 0.000 0.376 x2
Tm 0.000 0.331 0.625 x4
Tm 0.000 0.335 0.090 x4
Tm 0.000 0.500 0.349 x2
Sn 0.000 0.000 0.684 x2
Ge 0.000 0.500 0.855 x2
Ge 0.235 0.259 0.361 x8

Top 6 peaks for 10° ≤ 2θ ≤ 90°, low angle first:
3.056 Å, I = 86
2.895 Å, I = 54
2.862 Å, I = 54
2.599 Å, I = 100
2.368 Å, I = 46
2.267 Å, I = 81